Diffraction record for SnWO4. The X-ray powder pattern is calculated, not measured: it uses a cell relaxed with GGA+U and copper Kα.

Structure:
abc: 5.632 12.076 5.051
angles: 90.00 90.00 90.00
Positions (direct):
Sn (0.250, 0.000, 0.216)
Sn (0.250, 0.500, 0.284)
Sn (0.750, 0.000, 0.784)
Sn (0.750, 0.500, 0.716)
W (0.131, 0.250, 0.750)
W (0.369, 0.750, 0.750)
W (0.631, 0.250, 0.250)
W (0.869, 0.750, 0.250)
O (0.096, 0.104, 0.898)
O (0.096, 0.396, 0.602)
O (0.139, 0.705, 0.002)
O (0.139, 0.795, 0.498)
O (0.361, 0.205, 0.498)
O (0.361, 0.295, 0.002)
O (0.404, 0.604, 0.602)
O (0.404, 0.896, 0.898)
O (0.596, 0.104, 0.102)
O (0.596, 0.396, 0.398)
O (0.639, 0.705, 0.998)
O (0.639, 0.795, 0.502)
O (0.861, 0.205, 0.502)
O (0.861, 0.295, 0.998)
O (0.904, 0.604, 0.398)
O (0.904, 0.896, 0.102)

Top 12 peaks for 15° ≤ 2θ ≤ 90°, most intense first:
2θ (°), I_rel
27.95, 100.0
24.80, 39.2
29.59, 28.9
32.62, 27.9
51.50, 20.7
46.90, 16.6
49.04, 14.6
35.55, 13.5
53.82, 11.3
59.30, 11.3
51.96, 9.2
60.94, 8.9

=====

Diffraction record for SnWO4. The X-ray powder pattern is calculated, not measured: it uses a cell relaxed with GGA+U and copper Kα.

Structure:
abc: 7.621 7.621 7.621
angles: 90.00 90.00 90.00
Positions (direct):
Sn (0.180, 0.320, 0.680)
Sn (0.320, 0.680, 0.180)
Sn (0.680, 0.180, 0.320)
Sn (0.820, 0.820, 0.820)
W (0.165, 0.165, 0.165)
W (0.335, 0.835, 0.665)
W (0.665, 0.335, 0.835)
W (0.835, 0.665, 0.335)
O (0.048, 0.648, 0.233)
O (0.148, 0.267, 0.952)
O (0.200, 0.700, 0.800)
O (0.233, 0.048, 0.648)
O (0.267, 0.952, 0.148)
O (0.300, 0.300, 0.300)
O (0.352, 0.733, 0.452)
O (0.452, 0.352, 0.733)
O (0.548, 0.852, 0.767)
O (0.648, 0.233, 0.048)
O (0.700, 0.800, 0.200)
O (0.733, 0.452, 0.352)
O (0.767, 0.548, 0.852)
O (0.800, 0.200, 0.700)
O (0.852, 0.767, 0.548)
O (0.952, 0.148, 0.267)

Top 12 peaks for 15° ≤ 2θ ≤ 90°, most intense first:
2θ (°), I_rel
26.15, 100.0
44.48, 45.4
23.35, 44.9
28.69, 30.3
62.11, 26.3
49.30, 22.2
35.33, 17.1
55.24, 12.9
80.75, 12.3
63.43, 11.4
50.83, 11.2
52.33, 10.8

=====

Diffraction record for YSnW2O8. The X-ray powder pattern is calculated, not measured: it uses a cell relaxed with GGA+U and copper Kα.

Structure:
abc: 5.360 5.709 11.143
angles: 90.00 111.98 90.00
Positions (direct):
Y (0.000, 0.229, 0.250)
Y (0.000, 0.771, 0.750)
Sn (0.500, 0.178, 0.750)
Sn (0.500, 0.822, 0.250)
W (0.248, 0.328, 0.998)
W (0.248, 0.672, 0.498)
W (0.752, 0.328, 0.502)
W (0.752, 0.672, 0.002)
O (0.119, 0.429, 0.614)
O (0.119, 0.571, 0.114)
O (0.243, 0.110, 0.131)
O (0.243, 0.890, 0.631)
O (0.259, 0.107, 0.870)
O (0.259, 0.893, 0.370)
O (0.365, 0.402, 0.399)
O (0.365, 0.598, 0.899)
O (0.635, 0.402, 0.101)
O (0.635, 0.598, 0.601)
O (0.741, 0.107, 0.630)
O (0.741, 0.893, 0.130)
O (0.757, 0.110, 0.369)
O (0.757, 0.890, 0.869)
O (0.881, 0.429, 0.886)
O (0.881, 0.571, 0.386)

Top 12 peaks for 15° ≤ 2θ ≤ 90°, most intense first:
2θ (°), I_rel
27.51, 100.0
29.86, 81.1
23.22, 36.3
33.66, 27.6
35.69, 26.2
34.73, 20.5
46.07, 18.9
51.15, 18.6
55.15, 17.8
52.10, 15.5
49.17, 15.5
46.65, 14.4

=====

Diffraction record for YSnW2O8. The X-ray powder pattern is calculated, not measured: it uses a cell relaxed with GGA+U and copper Kα.

Structure:
abc: 5.221 6.167 6.525
angles: 62.93 70.14 87.70
Positions (direct):
Y (0.000, 0.000, 0.000)
Sn (0.422, 0.456, 0.063)
W (0.206, 0.722, 0.515)
W (0.686, 0.046, 0.534)
O (0.066, 0.069, 0.313)
O (0.186, 0.399, 0.745)
O (0.195, 0.683, 0.232)
O (0.296, 0.894, 0.712)
O (0.592, 0.900, 0.317)
O (0.659, 0.358, 0.309)
O (0.721, 0.115, 0.768)
O (0.799, 0.710, 0.711)

Top 12 peaks for 15° ≤ 2θ ≤ 90°, most intense first:
2θ (°), I_rel
28.81, 100.0
27.54, 59.4
26.19, 58.6
16.33, 48.9
34.54, 31.2
16.82, 28.5
33.07, 27.2
21.98, 20.4
46.10, 19.7
29.00, 19.0
52.02, 18.5
28.18, 16.4

=====

Diffraction record for Sr2TaVO6. The X-ray powder pattern is calculated, not measured: it uses a cell relaxed with GGA+U and copper Kα.

Structure:
abc: 5.701 5.701 5.701
angles: 121.04 121.04 88.20
Positions (direct):
Sr (0.250, 0.750, 0.500)
Sr (0.750, 0.250, 0.500)
Ta (0.000, 0.000, 0.000)
V (0.500, 0.500, 0.000)
O (0.209, 0.711, 0.920)
O (0.244, 0.244, 0.000)
O (0.289, 0.209, 0.498)
O (0.711, 0.791, 0.502)
O (0.756, 0.756, 0.000)
O (0.791, 0.289, 0.080)

Top 12 peaks for 15° ≤ 2θ ≤ 90°, most intense first:
2θ (°), I_rel
31.40, 100.0
31.90, 51.3
56.53, 41.2
19.18, 39.9
45.74, 30.2
55.58, 21.3
65.53, 19.3
44.25, 17.7
37.49, 16.2
75.83, 9.5
83.56, 9.2
73.37, 9.0

=====

Diffraction record for Sr2TaVO6. The X-ray powder pattern is calculated, not measured: it uses a cell relaxed with GGA+U and copper Kα.

Structure:
abc: 5.703 5.703 5.703
angles: 120.60 120.60 88.96
Positions (direct):
Sr (0.250, 0.750, 0.500)
Sr (0.750, 0.250, 0.500)
Ta (0.000, 0.000, 0.000)
V (0.500, 0.500, 0.000)
O (0.245, 0.245, 0.000)
O (0.249, 0.249, 0.499)
O (0.249, 0.751, 0.000)
O (0.751, 0.249, 0.000)
O (0.751, 0.751, 0.501)
O (0.755, 0.755, 0.000)

Top 12 peaks for 15° ≤ 2θ ≤ 90°, most intense first:
2θ (°), I_rel
31.38, 100.0
31.67, 48.8
19.12, 39.0
56.22, 38.9
45.40, 31.9
55.67, 20.0
65.48, 19.9
44.53, 16.9
37.26, 15.2
83.26, 9.9
66.15, 9.6
73.77, 8.8